[1]
Computed powder X-ray diffraction pattern
Compound: NaIn3Bi3
Radiation: Cu Kα (λ = 1.5418 Å)
Structure: a cell relaxed with GGA-PBE

The 10 most intense peaks (2θ from 10° to 90°), sorted by position:
| 2theta | d/Å | intensity |
| --- | --- | --- |
| 20.6 | 4.319 | 76 |
| 23.9 | 3.729 | 43 |
| 24.1 | 3.698 | 31 |
| 31.9 | 2.809 | 100 |
| 36.0 | 2.493 | 86 |
| 42.2 | 2.141 | 36 |
| 43.8 | 2.067 | 38 |
| 48.8 | 1.865 | 29 |
| 53.9 | 1.700 | 17 |
| 62.2 | 1.493 | 26 |

Atomic structure:
a b c (Å): 8.9204 8.9204 8.9204
angles (deg): 57.91 57.91 57.91
Fractional positions:
Na1 0.1669 0.1669 0.1669
Na2 0.8331 0.8331 0.8331
In1 0.0312 0.3834 0.7271
In2 0.2729 0.9688 0.6166
In3 0.3834 0.7271 0.0312
In4 0.6166 0.2729 0.9688
In5 0.7271 0.0312 0.3834
In6 0.9688 0.6166 0.2729
Bi1 0.1106 0.7482 0.4270
Bi2 0.2518 0.5730 0.8894
Bi3 0.4270 0.1106 0.7482
Bi4 0.5730 0.8894 0.2518
Bi5 0.7482 0.4270 0.1106
Bi6 0.8894 0.2518 0.5730

[2]
Computed powder X-ray diffraction pattern
Compound: NaNdInBi
Radiation: Cu Kα (λ = 1.5418 Å)
Structure: a cell relaxed with GGA-PBE

The 10 most intense peaks (2θ from 10° to 90°), sorted by position:
| 2theta | d/Å | intensity |
| --- | --- | --- |
| 19.7 | 4.507 | 21 |
| 22.8 | 3.903 | 12 |
| 32.4 | 2.760 | 100 |
| 38.2 | 2.354 | 12 |
| 46.5 | 1.952 | 18 |
| 51.0 | 1.791 | 5 |
| 52.4 | 1.746 | 5 |
| 57.9 | 1.593 | 38 |
| 67.9 | 1.380 | 12 |
| 77.3 | 1.234 | 16 |

Atomic structure:
a b c (Å): 5.5199 5.5199 5.5199
angles (deg): 60.00 60.00 60.00
Fractional positions:
Na1 0.0000 0.0000 0.0000
Nd1 0.5000 0.5000 0.5000
In1 0.2500 0.2500 0.2500
Bi1 0.7500 0.7500 0.7500

[3]
Computed powder X-ray diffraction pattern
Compound: Na2PrInBi2
Radiation: Cu Kα (λ = 1.5418 Å)
Structure: a cell relaxed with GGA-PBE

The 10 most intense peaks (2θ from 10° to 90°), sorted by position:
| 2theta | d/Å | intensity |
| --- | --- | --- |
| 23.1 | 3.858 | 55 |
| 25.1 | 3.545 | 27 |
| 31.1 | 2.871 | 45 |
| 31.9 | 2.808 | 77 |
| 32.4 | 2.766 | 100 |
| 34.4 | 2.605 | 44 |
| 41.4 | 2.181 | 29 |
| 43.1 | 2.100 | 26 |
| 47.1 | 1.929 | 29 |
| 62.2 | 1.492 | 29 |

Atomic structure:
a b c (Å): 5.2094 9.7933 7.0894
angles (deg): 90.00 90.00 90.00
Fractional positions:
Na1 0.0000 0.0078 0.0000
Na2 0.0000 0.9922 0.5000
Na3 0.5000 0.1511 0.2579
Na4 0.5000 0.8489 0.7579
Pr1 0.5000 0.4949 0.9901
Pr2 0.5000 0.5051 0.4901
In1 0.0000 0.3406 0.7228
In2 0.0000 0.6594 0.2228
Bi1 0.0000 0.3341 0.2451
Bi2 0.0000 0.6659 0.7451
Bi3 0.5000 0.1798 0.7495
Bi4 0.5000 0.8202 0.2495

[4]
Computed powder X-ray diffraction pattern
Compound: Na2SrInBi2
Radiation: Cu Kα (λ = 1.5418 Å)
Structure: a cell relaxed with GGA-PBE

The 10 most intense peaks (2θ from 10° to 90°), sorted by position:
| 2theta | d/Å | intensity |
| --- | --- | --- |
| 20.1 | 4.424 | 34 |
| 21.3 | 4.173 | 100 |
| 22.8 | 3.908 | 60 |
| 29.4 | 3.034 | 85 |
| 33.2 | 2.701 | 61 |
| 36.1 | 2.489 | 39 |
| 37.3 | 2.409 | 52 |
| 38.2 | 2.353 | 38 |
| 42.3 | 2.138 | 36 |
| 52.9 | 1.731 | 37 |

Atomic structure:
a b c (Å): 4.9787 9.6480 8.3378
angles (deg): 90.00 90.00 90.00
Fractional positions:
Na1 0.0000 0.0729 0.0000
Na2 0.0000 0.9271 0.5000
Na3 0.5000 0.1698 0.3190
Na4 0.5000 0.8302 0.8190
Sr1 0.5000 0.4439 0.9397
Sr2 0.5000 0.5561 0.4397
In1 0.0000 0.3095 0.6075
In2 0.0000 0.6905 0.1075
Bi1 0.0000 0.3719 0.2247
Bi2 0.0000 0.6281 0.7247
Bi3 0.5000 0.1482 0.7102
Bi4 0.5000 0.8518 0.2102

[5]
Computed powder X-ray diffraction pattern
Compound: NbInBi2O7
Radiation: Cu Kα (λ = 1.5418 Å)
Structure: a cell relaxed with GGA-PBE

The 10 most intense peaks (2θ from 10° to 90°), sorted by position:
| 2theta | d/Å | intensity |
| --- | --- | --- |
| 28.5 | 3.127 | 97 |
| 28.8 | 3.097 | 100 |
| 33.1 | 2.703 | 25 |
| 33.3 | 2.691 | 47 |
| 47.4 | 1.917 | 17 |
| 47.7 | 1.907 | 60 |
| 56.4 | 1.630 | 45 |
| 56.6 | 1.626 | 15 |
| 56.9 | 1.617 | 29 |
| 88.5 | 1.105 | 15 |

Atomic structure:
a b c (Å): 7.6287 7.6287 7.6287
angles (deg): 120.62 119.66 89.76
Fractional positions:
Nb1 0.0000 0.0000 0.0000
Nb2 0.5000 0.0000 0.5000
In1 0.5000 0.0000 0.0000
In2 0.5000 0.5000 0.5000
Bi1 0.0000 0.0000 0.5000
Bi2 0.0000 0.5000 0.0000
Bi3 0.0000 0.5000 0.5000
Bi4 0.5000 0.5000 0.0000
O1 0.1203 0.3703 0.7500
O2 0.1499 0.3233 0.2208
O3 0.1499 0.9291 0.8266
O4 0.2048 0.9548 0.2500
O5 0.3975 0.0709 0.7208
O6 0.3975 0.6767 0.3266
O7 0.3998 0.6498 0.7500
O8 0.6002 0.3502 0.2500
O9 0.6025 0.3233 0.6734
O10 0.6025 0.9291 0.2792
O11 0.7952 0.0452 0.7500
O12 0.8501 0.0709 0.1734
O13 0.8501 0.6767 0.7792
O14 0.8797 0.6297 0.2500

[6]
Computed powder X-ray diffraction pattern
Compound: Nd5InBi2
Radiation: Cu Kα (λ = 1.5418 Å)
Structure: a cell relaxed with GGA-PBE

The 10 most intense peaks (2θ from 10° to 90°), sorted by position:
| 2theta | d/Å | intensity |
| --- | --- | --- |
| 31.2 | 2.866 | 100 |
| 34.9 | 2.572 | 18 |
| 35.2 | 2.546 | 18 |
| 38.4 | 2.346 | 14 |
| 50.4 | 1.810 | 13 |
| 52.8 | 1.733 | 11 |
| 60.3 | 1.536 | 15 |
| 60.7 | 1.525 | 15 |
| 65.0 | 1.436 | 12 |
| 65.1 | 1.433 | 12 |

Atomic structure:
a b c (Å): 6.9247 6.9247 7.2386
angles (deg): 121.16 121.16 85.30
Fractional positions:
Nd1 0.0000 0.0000 0.0000
Nd2 0.0000 0.5000 0.0000
Nd3 0.0000 0.5000 0.5000
Nd4 0.5000 0.0000 0.0000
Nd5 0.5000 0.0000 0.5000
In1 0.5000 0.5000 0.5000
Bi1 0.0000 0.0000 0.5000
Bi2 0.5000 0.5000 0.0000

[7]
Computed powder X-ray diffraction pattern
Compound: Nd4InBi
Radiation: Cu Kα (λ = 1.5418 Å)
Structure: a cell relaxed with GGA-PBE

The 10 most intense peaks (2θ from 10° to 90°), sorted by position:
| 2theta | d/Å | intensity |
| --- | --- | --- |
| 28.4 | 3.139 | 44 |
| 28.7 | 3.108 | 51 |
| 30.3 | 2.946 | 97 |
| 32.2 | 2.780 | 34 |
| 32.4 | 2.765 | 27 |
| 32.7 | 2.741 | 93 |
| 32.9 | 2.725 | 27 |
| 33.0 | 2.712 | 100 |
| 33.7 | 2.658 | 59 |
| 51.7 | 1.767 | 28 |

Atomic structure:
a b c (Å): 8.5532 8.5532 6.3684
angles (deg): 101.73 101.73 115.94
Fractional positions:
Nd1 0.0859 0.7061 0.9382
Nd2 0.2169 0.3920 0.6523
Nd3 0.2939 0.9141 0.5618
Nd4 0.3920 0.2169 0.1523
Nd5 0.6080 0.7831 0.8477
Nd6 0.7061 0.0859 0.4382
Nd7 0.7831 0.6080 0.3477
Nd8 0.9141 0.2939 0.0618
In1 0.0018 0.9982 0.2500
In2 0.9982 0.0018 0.7500
Bi1 0.3844 0.6156 0.2500
Bi2 0.6156 0.3844 0.7500

[8]
Computed powder X-ray diffraction pattern
Compound: NdInBi3
Radiation: Cu Kα (λ = 1.5418 Å)
Structure: a cell relaxed with GGA-PBE

The 10 most intense peaks (2θ from 10° to 90°), sorted by position:
| 2theta | d/Å | intensity |
| --- | --- | --- |
| 26.4 | 3.379 | 35 |
| 29.5 | 3.025 | 65 |
| 30.0 | 2.981 | 100 |
| 30.3 | 2.948 | 98 |
| 32.5 | 2.754 | 53 |
| 32.7 | 2.736 | 46 |
| 33.2 | 2.696 | 82 |
| 35.5 | 2.531 | 36 |
| 39.1 | 2.305 | 46 |
| 39.6 | 2.277 | 43 |

Atomic structure:
a b c (Å): 14.9050 6.4208 6.6188
angles (deg): 90.00 90.00 90.00
Fractional positions:
Nd1 0.1741 0.0005 0.2500
Nd2 0.1741 0.4995 0.7500
Nd3 0.8259 0.5005 0.2500
Nd4 0.8259 0.9995 0.7500
In1 0.3895 0.7500 0.0000
In2 0.3895 0.7500 0.5000
In3 0.6105 0.2500 0.0000
In4 0.6105 0.2500 0.5000
Bi1 0.0018 0.7500 0.0000
Bi2 0.0018 0.7500 0.5000
Bi3 0.2203 0.0053 0.7500
Bi4 0.2203 0.4947 0.2500
Bi5 0.3995 0.2130 0.2500
Bi6 0.3995 0.2870 0.7500
Bi7 0.6005 0.7130 0.2500
Bi8 0.6005 0.7870 0.7500
Bi9 0.7797 0.5053 0.7500
Bi10 0.7797 0.9947 0.2500
Bi11 0.9982 0.2500 0.0000
Bi12 0.9982 0.2500 0.5000